Structure and simulated PXRD pattern of SrNdCBr2N2 (a structure optimized by DFT (GGA-PBE); Cu Ka).

Top 10 peaks for 10 to 90 degrees two-theta, by intensity:
(1 1 -2), 32.7 deg, intensity 100
(3 1 0), 34.9 deg, intensity 87
(1 1 0), 23.5 deg, intensity 72
(2 0 2), 32.3 deg, intensity 70
(1 1 -1), 25.8 deg, intensity 63
(0 0 2), 23.8 deg, intensity 54
(4 0 -1), 36.3 deg, intensity 46
(2 0 0), 17.9 deg, intensity 42
(3 1 2), 45.3 deg, intensity 38
(0 2 0), 44.3 deg, intensity 36

Structural model:
a = 10.0333 Å, b = 4.0898 Å, c = 7.5607 Å
α = 90.00°, β = 99.20°, γ = 90.00°
Space group Cm (No. 8)
Asymmetric unit:
Sr (0.0000, 0.0000, 0.0000)
Nd (0.3637, 0.0000, 0.5576)
C (0.1791, 0.5000, 0.7783)
Br (0.0568, 0.0000, 0.4401)
Br (0.3102, 0.0000, 0.1395)
N (0.0632, 0.5000, 0.8172)
N (0.2939, 0.5000, 0.7369)